1.
# MnAs2OsSe
Calculated X-ray diffraction stick pattern, Cu Kα (λ = 1.5418 Å). Input: a PBE-relaxed structure.
Neutral-atom scattering factors, no anomalous dispersion.

Most intense lines, 10 to 90 degrees two-theta, in order of falling intensity:
two_theta  I/Imax  h k l
19.15  100  1 0 0
38.86  87  2 0 0
51.23  78  2 0 2
32.07  74  0 0 2
15.88  73  0 0 1
24.97  65  1 0 1

Structural model:
```
data_MnAs2OsSe
_space_group_name_H-M_alt 'P 4/m m m'
_space_group_IT_number 123
_space_group_name_Hall '-P 4 2'
_cell_length_a 4.635
_cell_length_b 4.635
_cell_length_c 5.582
_cell_angle_alpha 90.00
_cell_angle_beta 90.00
_cell_angle_gamma 90.00
loop_
_atom_site_label
_atom_site_fract_x
_atom_site_fract_y
_atom_site_fract_z
Mn1 0.000 0.000 0.000
As1 0.000 0.500 0.500
Os1 0.500 0.500 0.500
Se1 0.500 0.500 0.000
```

=====

2.
# MnAs2P
Calculated X-ray diffraction stick pattern, Cu Kα (λ = 1.5418 Å). Input: a PBE-relaxed structure.
Neutral-atom scattering factors, no anomalous dispersion.

Most intense lines, 10 to 90 degrees two-theta, in order of falling intensity:
two_theta  I/Imax  h k l
40.68  100  1 1 2
33.50  54  0 1 3
44.85  41  1 0 5
27.74  33  0 0 4
28.19  24  1 0 1
56.87  22  0 1 7

Structural model:
```
data_MnAs2P
_space_group_name_H-M_alt 'I m m 2'
_space_group_IT_number 44
_space_group_name_Hall 'I 2 -2'
_cell_length_a 3.266
_cell_length_b 3.422
_cell_length_c 12.864
_cell_angle_alpha 90.00
_cell_angle_beta 90.00
_cell_angle_gamma 90.00
loop_
_atom_site_label
_atom_site_fract_x
_atom_site_fract_y
_atom_site_fract_z
Mn1 0.000 0.000 0.000
As1 0.000 0.000 0.583
As2 0.000 0.500 0.790
P1 0.000 0.500 0.359
```

=====

3.
# MnAsP
Calculated X-ray diffraction stick pattern, Cu Kα (λ = 1.5418 Å). Input: a PBE-relaxed structure.
Neutral-atom scattering factors, no anomalous dispersion.

Most intense lines, 10 to 90 degrees two-theta, in order of falling intensity:
two_theta  I/Imax  h k l
36.18  100  1 1 0
34.62  96  0 1 2
39.32  90  1 1 1
49.89  70  1 2 1
56.72  48  1 0 3
37.43  48  0 2 1

Structural model:
```
data_MnAsP
_space_group_name_H-M_alt 'P m n 21'
_space_group_IT_number 31
_space_group_name_Hall 'P 2ac -2'
_cell_length_a 2.818
_cell_length_b 5.251
_cell_length_c 5.957
_cell_angle_alpha 90.00
_cell_angle_beta 90.00
_cell_angle_gamma 90.00
loop_
_atom_site_label
_atom_site_fract_x
_atom_site_fract_y
_atom_site_fract_z
Mn1 0.000 0.233 0.000
As1 0.000 0.423 0.374
P1 0.000 0.068 0.639
```

=====

4.
# Sr3Pa3MnAs8
Calculated X-ray diffraction stick pattern, Cu Kα (λ = 1.5418 Å). Input: a PBE-relaxed structure.
Neutral-atom scattering factors, no anomalous dispersion.

Most intense lines, 10 to 90 degrees two-theta, in order of falling intensity:
two_theta  I/Imax  h k l
29.85  100  0 2 4
12.31  41  0 0 3
43.55  37  2 2 0
41.87  34  2 0 8
53.69  19  4 0 4
71.53  16  2 4 4

Structural model:
```
data_Sr3Pa3MnAs8
_space_group_name_H-M_alt 'R -3 m'
_space_group_IT_number 166
_space_group_name_Hall '-R 3 2"'
_cell_length_a 8.3122
_cell_length_b 8.3122
_cell_length_c 21.5684
_cell_angle_alpha 90.00
_cell_angle_beta 90.00
_cell_angle_gamma 120.00
loop_
_atom_site_label
_atom_site_fract_x
_atom_site_fract_y
_atom_site_fract_z
Sr1 0.0000 0.5000 0.0000
Pa1 0.0000 0.5000 0.5000
Mn1 0.0000 0.0000 0.5000
As1 0.0000 0.0000 0.2407
As2 0.0102 0.5051 0.2343
```

=====

5.
# MnAsPd6
Calculated X-ray diffraction stick pattern, Cu Kα (λ = 1.5418 Å). Input: a PBE-relaxed structure.
Neutral-atom scattering factors, no anomalous dispersion.

Most intense lines, 10 to 90 degrees two-theta, in order of falling intensity:
two_theta  I/Imax  h k l
39.61  100  1 1 2
46.14  32  2 0 0
81.01  24  3 1 2
67.11  20  2 0 4
45.89  16  0 0 4
80.65  12  1 1 6

Structural model:
```
data_MnAsPd6
_space_group_name_H-M_alt 'P 4/m m m'
_space_group_IT_number 123
_space_group_name_Hall '-P 4 2'
_cell_length_a 3.935
_cell_length_b 3.935
_cell_length_c 7.910
_cell_angle_alpha 90.00
_cell_angle_beta 90.00
_cell_angle_gamma 90.00
loop_
_atom_site_label
_atom_site_fract_x
_atom_site_fract_y
_atom_site_fract_z
Mn1 0.000 0.000 0.000
As1 0.000 0.000 0.500
Pd1 0.000 0.500 0.250
Pd2 0.500 0.500 0.000
Pd3 0.500 0.500 0.500
```

=====

6.
# Mn2AsPd6
Calculated X-ray diffraction stick pattern, Cu Kα (λ = 1.5418 Å). Input: a PBE-relaxed structure.
Neutral-atom scattering factors, no anomalous dispersion.

Most intense lines, 10 to 90 degrees two-theta, in order of falling intensity:
two_theta  I/Imax  h k l
41.67  100  2 1 0
35.17  98  0 1 2
47.75  72  0 2 0
31.35  39  2 0 -1
47.89  31  2 1 -3
39.33  30  0 0 3

Structural model:
```
data_Mn2AsPd6
_space_group_name_H-M_alt 'P 1 2/m 1'
_space_group_IT_number 10
_space_group_name_Hall '-P 2y'
_cell_length_a 5.707
_cell_length_b 3.810
_cell_length_c 7.431
_cell_angle_alpha 90.00
_cell_angle_beta 112.36
_cell_angle_gamma 90.00
loop_
_atom_site_label
_atom_site_fract_x
_atom_site_fract_y
_atom_site_fract_z
Mn1 0.245 0.000 0.490
As1 0.500 0.500 0.000
Pd1 0.096 0.500 0.698
Pd2 0.231 0.000 0.000
Pd3 0.399 0.500 0.303
```

=====

7.
# Pr4Mn2As5
Calculated X-ray diffraction stick pattern, Cu Kα (λ = 1.5418 Å). Input: a PBE-relaxed structure.
Neutral-atom scattering factors, no anomalous dispersion.

Most intense lines, 10 to 90 degrees two-theta, in order of falling intensity:
two_theta  I/Imax  h k l
28.83  100  0 1 3
42.96  56  1 1 0
43.75  30  1 0 7
31.88  29  0 1 4
39.44  22  1 0 6
52.56  19  2 0 3

Structural model:
```
data_Pr4Mn2As5
_space_group_name_H-M_alt 'P -3 m 1'
_space_group_IT_number 164
_space_group_name_Hall '-P 3 2"'
_cell_length_a 4.2106
_cell_length_b 4.2106
_cell_length_c 17.5896
_cell_angle_alpha 90.00
_cell_angle_beta 90.00
_cell_angle_gamma 120.00
loop_
_atom_site_label
_atom_site_fract_x
_atom_site_fract_y
_atom_site_fract_z
Pr1 0.0000 0.0000 0.1970
Pr2 0.3333 0.6667 0.6013
Mn1 0.3333 0.6667 0.0481
As1 0.0000 0.0000 0.5000
As2 0.3333 0.6667 0.2962
As3 0.3333 0.6667 0.9107
```

=====

8.
# Rb2MnAs2
Calculated X-ray diffraction stick pattern, Cu Kα (λ = 1.5418 Å). Input: a PBE-relaxed structure.
Neutral-atom scattering factors, no anomalous dispersion.

Most intense lines, 10 to 90 degrees two-theta, in order of falling intensity:
two_theta  I/Imax  h k l
28.39  100  2 1 1
31.58  56  1 4 1
33.85  54  2 3 1
37.91  53  0 4 2
27.45  49  0 0 2
22.61  37  1 3 0

Structural model:
```
data_Rb2MnAs2
_space_group_name_H-M_alt 'I b a m'
_space_group_IT_number 72
_space_group_name_Hall '-I 2 2c'
_cell_length_a 7.436
_cell_length_b 13.901
_cell_length_c 6.498
_cell_angle_alpha 90.00
_cell_angle_beta 90.00
_cell_angle_gamma 90.00
loop_
_atom_site_label
_atom_site_fract_x
_atom_site_fract_y
_atom_site_fract_z
Rb1 0.158 0.148 0.000
Mn1 0.000 0.500 0.250
As1 0.163 0.406 0.000
```

=====

> Number 2 is which compound?

MnAs2P